1.
Structure and computed PXRD pattern of CsCeV2O8 (DFT lattice parameters and positions (GGA+U); λ = 1.5418 Å (Cu Kα)).
Neutral-atom scattering factors, no anomalous dispersion.

The 10 most intense peaks (2θ from 5° to 70°), low angle first:
17.18°, I 73, hkl 1 0 0
20.10°, I 41, hkl 0 1 1
27.09°, I 100, hkl 0 1 2
29.98°, I 57, hkl 1 1 0
36.77°, I 20, hkl 2 -1 2
40.85°, I 40, hkl 0 2 2
45.99°, I 15, hkl 1 0 4
51.49°, I 32, hkl 3 -2 2
52.73°, I 21, hkl 1 1 4
69.20°, I 14, hkl 3 1 2

Unit cell a=5.9610 b=5.9610 c=8.5432 alpha=90.00 beta=90.00 gamma=120.00
Space group P-3 (No. 147)
Symmetry-distinct sites (fractional):
Cs  0.0000  0.0000  0.0000 (multiplicity 1)
Ce  0.0000  0.0000  0.5000 (multiplicity 1)
V  0.3333  0.6667  0.7261 (multiplicity 2)
O  0.1677  0.3438  0.6599 (multiplicity 6)
O  0.3333  0.6667  0.9230 (multiplicity 2)

2.
Structure and computed PXRD pattern of MnCd2O3 (DFT lattice parameters and positions (GGA+U); λ = 1.5418 Å (Cu Kα)).
Neutral-atom scattering factors, no anomalous dispersion.

The 10 most intense peaks (2θ from 5° to 70°), low angle first:
16.35°, I 7, hkl 0 0 1
18.65°, I 3, hkl 1 1 0
31.62°, I 5, hkl 2 0 -1
33.06°, I 100, hkl 0 0 2
38.35°, I 100, hkl 1 3 1
41.95°, I 3, hkl 2 0 1
55.36°, I 62, hkl 0 6 0
65.94°, I 4, hkl 2 0 -4
66.02°, I 37, hkl 1 3 3
69.36°, I 20, hkl 4 0 0

Unit cell a=5.7485 b=9.9529 c=5.7532 alpha=90.00 beta=109.53 gamma=90.00
Space group C2/m (No. 12)
Symmetry-distinct sites (fractional):
Mn  0.0000  0.1675  0.0000 (multiplicity 4)
Cd  0.0000  0.0000  0.5000 (multiplicity 2)
Cd  0.0000  0.3344  0.5000 (multiplicity 4)
Cd  0.0000  0.5000  0.0000 (multiplicity 2)
O  0.2336  0.0000  0.2388 (multiplicity 4)
O  0.2487  0.1729  0.7655 (multiplicity 8)

Please write out number 2 again, unchanged.
Structure and computed PXRD pattern of MnCd2O3 (DFT lattice parameters and positions (GGA+U); λ = 1.5418 Å (Cu Kα)).
Neutral-atom scattering factors, no anomalous dispersion.

The 10 most intense peaks (2θ from 5° to 70°), low angle first:
16.35°, I 7, hkl 0 0 1
18.65°, I 3, hkl 1 1 0
31.62°, I 5, hkl 2 0 -1
33.06°, I 100, hkl 0 0 2
38.35°, I 100, hkl 1 3 1
41.95°, I 3, hkl 2 0 1
55.36°, I 62, hkl 0 6 0
65.94°, I 4, hkl 2 0 -4
66.02°, I 37, hkl 1 3 3
69.36°, I 20, hkl 4 0 0

Unit cell a=5.7485 b=9.9529 c=5.7532 alpha=90.00 beta=109.53 gamma=90.00
Space group C2/m (No. 12)
Symmetry-distinct sites (fractional):
Mn  0.0000  0.1675  0.0000 (multiplicity 4)
Cd  0.0000  0.0000  0.5000 (multiplicity 2)
Cd  0.0000  0.3344  0.5000 (multiplicity 4)
Cd  0.0000  0.5000  0.0000 (multiplicity 2)
O  0.2336  0.0000  0.2388 (multiplicity 4)
O  0.2487  0.1729  0.7655 (multiplicity 8)

Please write out number 1 again, unchanged.
Structure and computed PXRD pattern of CsCeV2O8 (DFT lattice parameters and positions (GGA+U); λ = 1.5418 Å (Cu Kα)).
Neutral-atom scattering factors, no anomalous dispersion.

The 10 most intense peaks (2θ from 5° to 70°), low angle first:
17.18°, I 73, hkl 1 0 0
20.10°, I 41, hkl 0 1 1
27.09°, I 100, hkl 0 1 2
29.98°, I 57, hkl 1 1 0
36.77°, I 20, hkl 2 -1 2
40.85°, I 40, hkl 0 2 2
45.99°, I 15, hkl 1 0 4
51.49°, I 32, hkl 3 -2 2
52.73°, I 21, hkl 1 1 4
69.20°, I 14, hkl 3 1 2

Unit cell a=5.9610 b=5.9610 c=8.5432 alpha=90.00 beta=90.00 gamma=120.00
Space group P-3 (No. 147)
Symmetry-distinct sites (fractional):
Cs  0.0000  0.0000  0.0000 (multiplicity 1)
Ce  0.0000  0.0000  0.5000 (multiplicity 1)
V  0.3333  0.6667  0.7261 (multiplicity 2)
O  0.1677  0.3438  0.6599 (multiplicity 6)
O  0.3333  0.6667  0.9230 (multiplicity 2)